Entry 1:
# MgCu2Ni4O8
Computed powder diffractogram, λ = 1.5418 Å (Cu Kα). Input: a PBE+U-relaxed structure.
Peak positions follow from Bragg's law for the DFT cell and can differ from measured ones.

Atomic structure:
a = 6.1693 Å, b = 6.1693 Å, c = 6.1693 Å
α = 55.96°, β = 55.96°, γ = 55.96°
Element x y z (fractional)
Mg  0.0000  0.0000  0.0000
Cu  0.1541  0.1541  0.1541
Cu  0.8459  0.8459  0.8459
Ni  0.0000  0.5000  0.5000
Ni  0.5000  0.0000  0.5000
Ni  0.5000  0.5000  0.0000
Ni  0.5000  0.5000  0.5000
O  0.2468  0.2468  0.7419
O  0.2468  0.7419  0.2468
O  0.2581  0.7532  0.7532
O  0.2716  0.2716  0.2716
O  0.7284  0.7284  0.7284
O  0.7419  0.2468  0.2468
O  0.7532  0.2581  0.7532
O  0.7532  0.7532  0.2581

Largest 6 diffraction maxima, most intense first, 2θ = 5–70°:
2θ/deg  I_rel
35.52  100
42.92  51
36.30  46
64.37  43
30.89  38
60.23  29

Entry 2:
# Mg2V2CuO8
Computed powder diffractogram, λ = 1.5418 Å (Cu Kα). Input: a PBE+U-relaxed structure.
Peak positions follow from Bragg's law for the DFT cell and can differ from measured ones.

Atomic structure:
a = 6.4742 Å, b = 8.2132 Å, c = 6.2509 Å
α = 90.00°, β = 115.95°, γ = 90.00°
Element x y z (fractional)
Mg  0.2296  0.2497  0.1170
Mg  0.2296  0.2503  0.6170
Mg  0.7704  0.7497  0.3830
Mg  0.7704  0.7503  0.8830
V  0.2573  0.6261  0.3648
V  0.2573  0.8739  0.8648
V  0.7427  0.1261  0.1352
V  0.7427  0.3739  0.6352
Cu  0.5000  0.0000  0.5000
Cu  0.5000  0.5000  0.0000
O  0.0025  0.2302  0.2598
O  0.0025  0.2698  0.7598
O  0.2545  0.5031  0.5811
O  0.2545  0.9969  0.0811
O  0.2743  0.5028  0.1443
O  0.2743  0.9972  0.6443
O  0.4914  0.2373  0.4984
O  0.4914  0.2627  0.9984
O  0.5086  0.7373  0.0016
O  0.5086  0.7627  0.5016
O  0.7257  0.0028  0.3557
O  0.7257  0.4972  0.8557
O  0.7455  0.0031  0.9189
O  0.7455  0.4969  0.4189
O  0.9975  0.7302  0.2402
O  0.9975  0.7698  0.7402

Largest 6 diffraction maxima, most intense first, 2θ = 5–70°:
2θ/deg  I_rel
28.61  100
29.77  47
15.22  47
62.04  38
63.73  34
33.71  34

Entry 3:
# MgV3CuO8
Computed powder diffractogram, λ = 1.5418 Å (Cu Kα). Input: a PBE+U-relaxed structure.
Peak positions follow from Bragg's law for the DFT cell and can differ from measured ones.

Atomic structure:
a = 3.9242 Å, b = 6.2187 Å, c = 6.7207 Å
α = 104.46°, β = 90.74°, γ = 107.00°
Element x y z (fractional)
Mg  0.0000  0.0000  0.0000
V  0.3987  0.7778  0.6782
V  0.5153  0.0148  0.3213
V  0.7323  0.4151  0.7409
Cu  0.8150  0.6078  0.2978
O  0.2602  0.4728  0.7104
O  0.3609  0.6896  0.3785
O  0.4798  0.9551  0.0141
O  0.5491  0.0745  0.6443
O  0.6750  0.3229  0.3963
O  0.7652  0.4276  0.9937
O  0.8884  0.7528  0.7262
O  0.9803  0.9429  0.2819

Largest 6 diffraction maxima, most intense first, 2θ = 5–70°:
2θ/deg  I_rel
46.29  100
30.57  100
27.53  87
24.13  80
41.82  79
23.81  76

Entry 4:
# Mg6VCuO8
Computed powder diffractogram, λ = 1.5418 Å (Cu Kα). Input: a PBE+U-relaxed structure.
Peak positions follow from Bragg's law for the DFT cell and can differ from measured ones.

Atomic structure:
a = 4.2360 Å, b = 4.2360 Å, c = 8.8075 Å
α = 90.00°, β = 90.00°, γ = 90.00°
Element x y z (fractional)
Mg  0.0000  0.0000  0.0000
Mg  0.0000  0.0000  0.5000
Mg  0.0000  0.5000  0.2430
Mg  0.0000  0.5000  0.7570
Mg  0.5000  0.0000  0.2430
Mg  0.5000  0.0000  0.7570
V  0.5000  0.5000  0.5000
Cu  0.5000  0.5000  0.0000
O  0.0000  0.0000  0.2494
O  0.0000  0.0000  0.7506
O  0.0000  0.5000  0.0000
O  0.0000  0.5000  0.5000
O  0.5000  0.0000  0.0000
O  0.5000  0.0000  0.5000
O  0.5000  0.5000  0.2657
O  0.5000  0.5000  0.7343

Largest 6 diffraction maxima, most intense first, 2θ = 5–70°:
2θ/deg  I_rel
42.69  100
60.67  60
40.99  56
36.27  41
61.96  28
20.97  19

Please write out number 3 again, unchanged.
# MgV3CuO8
Computed powder diffractogram, λ = 1.5418 Å (Cu Kα). Input: a PBE+U-relaxed structure.
Peak positions follow from Bragg's law for the DFT cell and can differ from measured ones.

Atomic structure:
a = 3.9242 Å, b = 6.2187 Å, c = 6.7207 Å
α = 104.46°, β = 90.74°, γ = 107.00°
Element x y z (fractional)
Mg  0.0000  0.0000  0.0000
V  0.3987  0.7778  0.6782
V  0.5153  0.0148  0.3213
V  0.7323  0.4151  0.7409
Cu  0.8150  0.6078  0.2978
O  0.2602  0.4728  0.7104
O  0.3609  0.6896  0.3785
O  0.4798  0.9551  0.0141
O  0.5491  0.0745  0.6443
O  0.6750  0.3229  0.3963
O  0.7652  0.4276  0.9937
O  0.8884  0.7528  0.7262
O  0.9803  0.9429  0.2819

Largest 6 diffraction maxima, most intense first, 2θ = 5–70°:
2θ/deg  I_rel
46.29  100
30.57  100
27.53  87
24.13  80
41.82  79
23.81  76

What did the fourth record say?
# Mg6VCuO8
Computed powder diffractogram, λ = 1.5418 Å (Cu Kα). Input: a PBE+U-relaxed structure.
Peak positions follow from Bragg's law for the DFT cell and can differ from measured ones.

Atomic structure:
a = 4.2360 Å, b = 4.2360 Å, c = 8.8075 Å
α = 90.00°, β = 90.00°, γ = 90.00°
Element x y z (fractional)
Mg  0.0000  0.0000  0.0000
Mg  0.0000  0.0000  0.5000
Mg  0.0000  0.5000  0.2430
Mg  0.0000  0.5000  0.7570
Mg  0.5000  0.0000  0.2430
Mg  0.5000  0.0000  0.7570
V  0.5000  0.5000  0.5000
Cu  0.5000  0.5000  0.0000
O  0.0000  0.0000  0.2494
O  0.0000  0.0000  0.7506
O  0.0000  0.5000  0.0000
O  0.0000  0.5000  0.5000
O  0.5000  0.0000  0.0000
O  0.5000  0.0000  0.5000
O  0.5000  0.5000  0.2657
O  0.5000  0.5000  0.7343

Largest 6 diffraction maxima, most intense first, 2θ = 5–70°:
2θ/deg  I_rel
42.69  100
60.67  60
40.99  56
36.27  41
61.96  28
20.97  19